[1]
The following is a calculated XRD peak list of LiVP4O12. It was derived from a DFT-relaxed cell (PBE+U, the Materials Project), using copper Kα.
Intensities are scaled so that the largest is 100.

Peak list (12 most intense, 2θ = 15–90°, by intensity)
18.50 deg, d = 4.797 Å, rel. 100, hkl 2 0 -1
27.95 deg, d = 3.192 Å, rel. 47, hkl 3 3 0
21.25 deg, d = 4.182 Å, rel. 45, hkl 4 0 0
21.55 deg, d = 4.124 Å, rel. 43, hkl 1 1 1
24.01 deg, d = 3.707 Å, rel. 38, hkl 2 2 -1
23.71 deg, d = 3.753 Å, rel. 38, hkl 0 2 1
27.74 deg, d = 3.216 Å, rel. 37, hkl 5 1 0
28.94 deg, d = 3.085 Å, rel. 36, hkl 1 3 -1
35.76 deg, d = 2.511 Å, rel. 28, hkl 3 3 1
29.22 deg, d = 3.057 Å, rel. 26, hkl 5 1 -1
35.39 deg, d = 2.536 Å, rel. 25, hkl 5 3 0
53.88 deg, d = 1.701 Å, rel. 16, hkl 5 5 1

Crystal structure
```
data_LiVP4O12
_chemical_formula_sum 'Li4 V4 P16 O48'
_cell_length_a 17.3056
_cell_length_b 11.6681
_cell_length_c 5.0709
_cell_angle_alpha 90.00
_cell_angle_beta 104.87
_cell_angle_gamma 90.00
_space_group_name_H-M_alt 'C 1 2/m 1'
_space_group_IT_number 12
loop_
_space_group_symop_operation_xyz
'x,y,z'
'-x,-y,-z'
'-x,y,-z'
'x,-y,z'
'x+1/2,y+1/2,z'
'-x+1/2,-y+1/2,-z'
'-x+1/2,y+1/2,-z'
'x+1/2,-y+1/2,z'
loop_
_atom_site_label
_atom_site_type_symbol
_atom_site_fract_x
_atom_site_fract_y
_atom_site_fract_z
Li1 Li 0.2500 0.2500 0.0000
V1 V 0.1467 0.0000 0.6802
P1 P 0.0860 0.1771 0.1533
P2 P 0.1874 0.3810 0.4381
O1 O 0.0000 0.2273 0.0000
O2 O 0.0784 0.1123 0.4009
O3 O 0.1241 0.1182 0.9550
O4 O 0.1302 0.2974 0.2235
O5 O 0.1396 0.5000 0.3512
O6 O 0.1933 0.3530 0.7263
O7 O 0.2356 0.1143 0.6571
```

[2]
The following is a calculated XRD peak list of Li2VP2O8. It was derived from a DFT-relaxed cell (PBE+U, the Materials Project), using copper Kα.
Intensities are scaled so that the largest is 100.

Peak list (12 most intense, 2θ = 15–90°, by intensity)
24.51 deg, d = 3.631 Å, rel. 100, hkl 1 0 -1
25.53 deg, d = 3.489 Å, rel. 65, hkl 1 1 1
34.57 deg, d = 2.595 Å, rel. 32, hkl 0 1 -2
33.79 deg, d = 2.653 Å, rel. 29, hkl 0 1 2
33.58 deg, d = 2.669 Å, rel. 25, hkl 1 -1 0
37.50 deg, d = 2.398 Å, rel. 24, hkl 2 1 0
40.56 deg, d = 2.224 Å, rel. 19, hkl 0 2 0
65.67 deg, d = 1.422 Å, rel. 15, hkl 3 1 -2
43.91 deg, d = 2.062 Å, rel. 13, hkl 1 -1 2
71.97 deg, d = 1.312 Å, rel. 9, hkl 3 1 3
54.60 deg, d = 1.681 Å, rel. 8, hkl 2 2 -2
54.83 deg, d = 1.674 Å, rel. 8, hkl -2 1 1

Crystal structure
```
data_Li2VP2O8
_chemical_formula_sum 'Li2 V1 P2 O8'
_cell_length_a 4.8318
_cell_length_b 4.8365
_cell_length_c 6.5018
_cell_angle_alpha 87.99
_cell_angle_beta 87.97
_cell_angle_gamma 67.01
_space_group_name_H-M_alt 'P 1'
_space_group_IT_number 1
loop_
_space_group_symop_operation_xyz
'x,y,z'
loop_
_atom_site_label
_atom_site_type_symbol
_atom_site_fract_x
_atom_site_fract_y
_atom_site_fract_z
Li1 Li 0.0000 0.0000 0.0000
Li2 Li 0.3257 0.3251 0.2381
V1 V 0.9991 0.9992 0.5313
P1 P 0.3504 0.3511 0.7548
P2 P 0.6616 0.6620 0.2934
O1 O 0.2266 0.7041 0.7372
O2 O 0.2381 0.2400 0.5619
O3 O 0.2517 0.2536 0.9569
O4 O 0.3064 0.7767 0.3086
O5 O 0.7038 0.2277 0.7376
O6 O 0.7671 0.7691 0.0999
O7 O 0.7696 0.7701 0.4877
O8 O 0.7774 0.3077 0.3083
```

[3]
The following is a calculated XRD peak list of LiVP4O12. It was derived from a DFT-relaxed cell (PBE+U, the Materials Project), using copper Kα.
Intensities are scaled so that the largest is 100.

Peak list (12 most intense, 2θ = 15–90°, by intensity)
24.30 deg, d = 3.663 Å, rel. 100, hkl 1 2 0
15.48 deg, d = 5.725 Å, rel. 95, hkl 0 1 1
26.65 deg, d = 3.344 Å, rel. 87, hkl 1 0 2
28.51 deg, d = 3.131 Å, rel. 64, hkl 2 1 -1
16.05 deg, d = 5.521 Å, rel. 49, hkl 1 1 0
16.21 deg, d = 5.467 Å, rel. 47, hkl 1 0 -1
19.32 deg, d = 4.595 Å, rel. 41, hkl 1 1 -1
27.22 deg, d = 3.276 Å, rel. 31, hkl 1 2 1
23.92 deg, d = 3.721 Å, rel. 29, hkl 0 2 1
20.14 deg, d = 4.409 Å, rel. 25, hkl 1 1 1
28.69 deg, d = 3.112 Å, rel. 21, hkl 1 1 2
25.38 deg, d = 3.509 Å, rel. 20, hkl 1 0 -2

Crystal structure
```
data_LiVP4O12
_chemical_formula_sum 'Li2 V2 P8 O24'
_cell_length_a 7.2866
_cell_length_b 8.4787
_cell_length_c 7.7744
_cell_angle_alpha 90.00
_cell_angle_beta 93.29
_cell_angle_gamma 90.00
_space_group_name_H-M_alt 'P 1 21 1'
_space_group_IT_number 4
loop_
_space_group_symop_operation_xyz
'x,y,z'
'-x,y+1/2,-z'
loop_
_atom_site_label
_atom_site_type_symbol
_atom_site_fract_x
_atom_site_fract_y
_atom_site_fract_z
Li1 Li 0.2423 0.0000 0.1429
V1 V 0.2428 0.8004 0.6682
P1 P 0.1307 0.4301 0.5560
P2 P 0.1484 0.3744 0.1926
P3 P 0.4132 0.5943 0.0256
P4 P 0.4351 0.1837 0.6265
O1 O 0.0491 0.8410 0.4646
O2 O 0.0588 0.8876 0.8366
O3 O 0.1196 0.5808 0.6546
O4 O 0.2089 0.4664 0.3718
O5 O 0.2275 0.4950 0.0565
O6 O 0.2337 0.2159 0.1947
O7 O 0.2863 0.3226 0.6542
O8 O 0.3390 0.0275 0.6194
O9 O 0.3638 0.7015 0.8784
O10 O 0.4241 0.9909 0.9839
O11 O 0.4346 0.7036 0.1992
O12 O 0.4496 0.7273 0.5190
```

> Which formula does entry 1 have?

LiVP4O12